(1)
Diffraction record for Lu7O6F9. The XRD peak list is theoretical, not measured: it uses a DFT-relaxed cell (PBE, OQMD) and λ = 1.5418 Å (Cu Kα).

Peak list (10 most intense, 2θ from 10° to 90°, in order of rising 2θ)
29.09 deg, rel. 100; 32.12 deg, rel. 8; 33.38 deg, rel. 9; 33.67 deg, rel. 14; 34.07 deg, rel. 12; 48.15 deg, rel. 13; 48.45 deg, rel. 12; 48.66 deg, rel. 16; 57.42 deg, rel. 15; 57.96 deg, rel. 13

Atomic structure:
```
data_Lu7O6F9
_chemical_formula_sum 'Lu28 O24 F36'
_symmetry_space_group_name_H-M 'A e m 2'
_symmetry_Int_Tables_number 39
_symmetry_space_group_name_Hall 'A 2 -2b'
_cell_length_a 5.262
_cell_length_b 37.578
_cell_length_c 5.323
_cell_angle_alpha 90.00
_cell_angle_beta 90.00
_cell_angle_gamma 90.00
loop_
_atom_site_label
_atom_site_type_symbol
_atom_site_fract_x
_atom_site_fract_y
_atom_site_fract_z
Lu1 Lu 0.200 0.100 0.000
Lu2 Lu 0.235 0.169 0.486
Lu3 Lu 0.237 0.029 0.471
Lu4 Lu 0.241 0.250 0.925
O1 O 0.000 0.000 0.224
O2 O 0.024 0.143 0.758
O3 O 0.041 0.070 0.715
O4 O 0.500 0.000 0.212
F1 F 0.056 0.215 0.216
F2 F 0.364 0.250 0.543
F3 F 0.400 0.199 0.854
F4 F 0.454 0.078 0.324
F5 F 0.463 0.142 0.176
```

---

(2)
Diffraction record for Lu3Se4O12F. The XRD peak list is theoretical, not measured: it uses a DFT-relaxed cell (PBE, OQMD) and λ = 1.5418 Å (Cu Kα).

Peak list (10 most intense, 2θ from 10° to 90°, in order of rising 2θ)
10.44 deg, rel. 100; 20.96 deg, rel. 40; 24.58 deg, rel. 61; 27.66 deg, rel. 42; 30.71 deg, rel. 88; 33.27 deg, rel. 81; 34.24 deg, rel. 45; 36.73 deg, rel. 43; 48.61 deg, rel. 35; 53.99 deg, rel. 33

Atomic structure:
```
data_Lu3Se4O12F
_chemical_formula_sum 'Lu6 Se8 O24 F2'
_symmetry_space_group_name_H-M 'P 63'
_symmetry_Int_Tables_number 173
_symmetry_space_group_name_Hall 'P 6c'
_cell_length_a 9.7871
_cell_length_b 9.7871
_cell_length_c 6.9740
_cell_angle_alpha 90.00
_cell_angle_beta 90.00
_cell_angle_gamma 120.00
loop_
_atom_site_label
_atom_site_type_symbol
_atom_site_fract_x
_atom_site_fract_y
_atom_site_fract_z
Lu1 Lu 0.0696 0.5268 0.0000
Se1 Se 0.1320 0.2930 0.2789
Se2 Se 0.3333 0.6667 0.5875
O1 O 0.0787 0.7255 0.4483
O2 O 0.0916 0.4481 0.2946
O3 O 0.1202 0.7676 0.0647
O4 O 0.1559 0.5373 0.6994
F1 F 0.3333 0.6667 0.0329
```

---

(3)
Diffraction record for RbLu3F10. The XRD peak list is theoretical, not measured: it uses a DFT-relaxed cell (PBE, OQMD) and λ = 1.5418 Å (Cu Kα).

Peak list (10 most intense, 2θ from 10° to 90°, in order of rising 2θ)
13.31 deg, rel. 22; 21.43 deg, rel. 41; 25.31 deg, rel. 38; 26.81 deg, rel. 100; 31.76 deg, rel. 23; 34.58 deg, rel. 30; 47.35 deg, rel. 32; 51.98 deg, rel. 34; 52.53 deg, rel. 17; 66.37 deg, rel. 18

Atomic structure:
```
data_RbLu3F10
_chemical_formula_sum 'Rb2 Lu6 F20'
_symmetry_space_group_name_H-M 'C 1 m 1'
_symmetry_Int_Tables_number 8
_symmetry_space_group_name_Hall 'C -2y'
_cell_length_a 13.298
_cell_length_b 7.680
_cell_length_c 4.146
_cell_angle_alpha 90.00
_cell_angle_beta 90.03
_cell_angle_gamma 90.00
loop_
_atom_site_label
_atom_site_type_symbol
_atom_site_fract_x
_atom_site_fract_y
_atom_site_fract_z
Rb1 Rb 0.000 0.000 0.000
Lu1 Lu 0.009 0.500 0.557
Lu2 Lu 0.244 0.265 0.555
F1 F 0.081 0.245 0.477
F2 F 0.166 0.500 0.717
F3 F 0.212 0.000 0.580
F4 F 0.250 0.246 0.058
F5 F 0.336 0.500 0.475
F6 F 0.393 0.182 0.582
F7 F 0.497 0.000 0.059
```

---

(4)
Diffraction record for RbLu3F10. The XRD peak list is theoretical, not measured: it uses a DFT-relaxed cell (PBE, OQMD) and λ = 1.5418 Å (Cu Kα).

Peak list (10 most intense, 2θ from 10° to 90°, in order of rising 2θ)
18.20 deg, rel. 20; 21.78 deg, rel. 65; 26.03 deg, rel. 19; 27.14 deg, rel. 100; 28.37 deg, rel. 36; 28.53 deg, rel. 45; 35.06 deg, rel. 30; 44.40 deg, rel. 22; 51.07 deg, rel. 18; 52.82 deg, rel. 35

Atomic structure:
```
data_RbLu3F10
_chemical_formula_sum 'Rb8 Lu24 F80'
_symmetry_space_group_name_H-M 'C m c e'
_symmetry_Int_Tables_number 64
_symmetry_space_group_name_Hall '-C 2ac 2'
_cell_length_a 8.161
_cell_length_b 12.583
_cell_length_c 15.412
_cell_angle_alpha 90.00
_cell_angle_beta 90.00
_cell_angle_gamma 90.00
loop_
_atom_site_label
_atom_site_type_symbol
_atom_site_fract_x
_atom_site_fract_y
_atom_site_fract_z
Rb1 Rb 0.000 0.000 0.000
Rb2 Rb 0.000 0.000 0.500
Lu1 Lu 0.246 0.224 0.113
Lu2 Lu 0.250 0.009 0.750
F1 F 0.000 0.005 0.213
F2 F 0.000 0.185 0.097
F3 F 0.000 0.249 0.380
F4 F 0.164 0.142 0.680
F5 F 0.215 0.054 0.377
F6 F 0.245 0.154 0.517
F7 F 0.250 0.172 0.250
```

---

(5)
Diffraction record for Mg2Te2PdF2. The XRD peak list is theoretical, not measured: it uses a DFT-relaxed cell (PBE, OQMD) and λ = 1.5418 Å (Cu Kα).

Peak list (10 most intense, 2θ from 10° to 90°, in order of rising 2θ)
26.65 deg, rel. 100; 30.91 deg, rel. 70; 37.04 deg, rel. 35; 40.21 deg, rel. 73; 44.38 deg, rel. 31; 45.26 deg, rel. 28; 51.48 deg, rel. 30; 58.91 deg, rel. 24; 61.27 deg, rel. 19; 71.08 deg, rel. 16

Atomic structure:
```
data_Mg2Te2PdF2
_chemical_formula_sum 'Mg2 Te2 Pd1 F2'
_symmetry_space_group_name_H-M 'P -4 m 2'
_symmetry_Int_Tables_number 115
_symmetry_space_group_name_Hall 'P -4 -2'
_cell_length_a 3.550
_cell_length_b 3.550
_cell_length_c 9.978
_cell_angle_alpha 90.00
_cell_angle_beta 90.00
_cell_angle_gamma 90.00
loop_
_atom_site_label
_atom_site_type_symbol
_atom_site_fract_x
_atom_site_fract_y
_atom_site_fract_z
Mg1 Mg 0.000 0.500 0.116
Te1 Te 0.000 0.500 0.698
Pd1 Pd 0.000 0.000 0.500
F1 F 0.000 0.000 0.000
F2 F 0.500 0.500 0.000
```

---

(6)
Diffraction record for MgTe2Pd2F2. The XRD peak list is theoretical, not measured: it uses a DFT-relaxed cell (PBE, OQMD) and λ = 1.5418 Å (Cu Kα).

Peak list (10 most intense, 2θ from 10° to 90°, in order of rising 2θ)
19.25 deg, rel. 75; 30.87 deg, rel. 59; 34.06 deg, rel. 66; 37.97 deg, rel. 30; 39.42 deg, rel. 100; 46.33 deg, rel. 30; 48.94 deg, rel. 41; 53.06 deg, rel. 21; 55.62 deg, rel. 30; 77.20 deg, rel. 23

Atomic structure:
```
data_MgTe2Pd2F2
_chemical_formula_sum 'Mg1 Te2 Pd2 F2'
_symmetry_space_group_name_H-M 'P -4 m 2'
_symmetry_Int_Tables_number 115
_symmetry_space_group_name_Hall 'P -4 -2'
_cell_length_a 3.722
_cell_length_b 3.722
_cell_length_c 9.220
_cell_angle_alpha 90.00
_cell_angle_beta 90.00
_cell_angle_gamma 90.00
loop_
_atom_site_label
_atom_site_type_symbol
_atom_site_fract_x
_atom_site_fract_y
_atom_site_fract_z
Mg1 Mg 0.000 0.000 0.000
Te1 Te 0.000 0.500 0.766
Pd1 Pd 0.000 0.500 0.329
F1 F 0.000 0.000 0.500
F2 F 0.500 0.500 0.500
```

---

(7)
Diffraction record for MgTe2Pt2F2. The XRD peak list is theoretical, not measured: it uses a DFT-relaxed cell (PBE, OQMD) and λ = 1.5418 Å (Cu Kα).

Peak list (10 most intense, 2θ from 10° to 90°, in order of rising 2θ)
19.68 deg, rel. 87; 31.03 deg, rel. 55; 33.83 deg, rel. 72; 39.44 deg, rel. 100; 47.03 deg, rel. 40; 48.59 deg, rel. 39; 52.92 deg, rel. 27; 58.78 deg, rel. 18; 69.94 deg, rel. 24; 84.55 deg, rel. 22

Atomic structure:
```
data_MgTe2Pt2F2
_chemical_formula_sum 'Mg1 Te2 Pt2 F2'
_symmetry_space_group_name_H-M 'P -4 m 2'
_symmetry_Int_Tables_number 115
_symmetry_space_group_name_Hall 'P -4 -2'
_cell_length_a 3.747
_cell_length_b 3.747
_cell_length_c 9.021
_cell_angle_alpha 90.00
_cell_angle_beta 90.00
_cell_angle_gamma 90.00
loop_
_atom_site_label
_atom_site_type_symbol
_atom_site_fract_x
_atom_site_fract_y
_atom_site_fract_z
Mg1 Mg 0.000 0.000 0.000
Te1 Te 0.000 0.500 0.764
Pt1 Pt 0.000 0.500 0.312
F1 F 0.000 0.000 0.500
F2 F 0.500 0.500 0.500
```

---

(8)
Diffraction record for Mg2ZnTe2F2. The XRD peak list is theoretical, not measured: it uses a DFT-relaxed cell (PBE, OQMD) and λ = 1.5418 Å (Cu Kα).

Peak list (10 most intense, 2θ from 10° to 90°, in order of rising 2θ)
25.36 deg, rel. 100; 30.74 deg, rel. 63; 33.21 deg, rel. 20; 38.19 deg, rel. 28; 38.94 deg, rel. 67; 45.23 deg, rel. 20; 46.92 deg, rel. 25; 47.68 deg, rel. 33; 54.76 deg, rel. 24; 57.80 deg, rel. 20

Atomic structure:
```
data_Mg2ZnTe2F2
_chemical_formula_sum 'Mg2 Zn1 Te2 F2'
_symmetry_space_group_name_H-M 'P -4 m 2'
_symmetry_Int_Tables_number 115
_symmetry_space_group_name_Hall 'P -4 -2'
_cell_length_a 3.815
_cell_length_b 3.815
_cell_length_c 8.991
_cell_angle_alpha 90.00
_cell_angle_beta 90.00
_cell_angle_gamma 90.00
loop_
_atom_site_label
_atom_site_type_symbol
_atom_site_fract_x
_atom_site_fract_y
_atom_site_fract_z
Mg1 Mg 0.000 0.500 0.122
Zn1 Zn 0.000 0.000 0.500
Te1 Te 0.000 0.500 0.698
F1 F 0.000 0.000 0.000
F2 F 0.500 0.500 0.000
```

---

(9)
Diffraction record for Pr3NdN2F2. The XRD peak list is theoretical, not measured: it uses a DFT-relaxed cell (PBE, OQMD) and λ = 1.5418 Å (Cu Kα).

Peak list (10 most intense, 2θ from 10° to 90°, in order of rising 2θ)
28.16 deg, rel. 28; 28.88 deg, rel. 30; 29.75 deg, rel. 55; 36.00 deg, rel. 100; 40.78 deg, rel. 22; 51.18 deg, rel. 32; 59.13 deg, rel. 23; 59.44 deg, rel. 22; 64.16 deg, rel. 18; 86.40 deg, rel. 16

Atomic structure:
```
data_Pr3NdN2F2
_chemical_formula_sum 'Pr3 Nd1 N2 F2'
_symmetry_space_group_name_H-M 'P 3 m 1'
_symmetry_Int_Tables_number 156
_symmetry_space_group_name_Hall 'P 3 -2"'
_cell_length_a 3.5695
_cell_length_b 3.5695
_cell_length_c 12.6756
_cell_angle_alpha 90.00
_cell_angle_beta 90.00
_cell_angle_gamma 120.00
loop_
_atom_site_label
_atom_site_type_symbol
_atom_site_fract_x
_atom_site_fract_y
_atom_site_fract_z
Pr1 Pr 0.0000 0.0000 0.0000
Pr2 Pr 0.0000 0.0000 0.2849
Pr3 Pr 0.6667 0.3333 0.5013
Nd1 Nd 0.6667 0.3333 0.7856
N1 N 0.3333 0.6667 0.3931
N2 N 0.3333 0.6667 0.8889
F1 F 0.0000 0.0000 0.6464
F2 F 0.6667 0.3333 0.1430
```

---

(10)
Diffraction record for Na2NbO3F. The XRD peak list is theoretical, not measured: it uses a DFT-relaxed cell (PBE, OQMD) and λ = 1.5418 Å (Cu Kα).

Peak list (10 most intense, 2θ from 10° to 90°, in order of rising 2θ)
14.66 deg, rel. 97; 23.88 deg, rel. 100; 31.87 deg, rel. 69; 32.33 deg, rel. 67; 44.03 deg, rel. 29; 45.01 deg, rel. 22; 46.37 deg, rel. 47; 56.50 deg, rel. 22; 57.37 deg, rel. 27; 66.61 deg, rel. 23

Atomic structure:
```
data_Na2NbO3F
_chemical_formula_sum 'Na4 Nb2 O6 F2'
_symmetry_space_group_name_H-M 'P 4/n m m'
_symmetry_Int_Tables_number 129
_cell_length_a 3.916
_cell_length_b 3.916
_cell_length_c 12.084
_cell_angle_alpha 90.00
_cell_angle_beta 90.00
_cell_angle_gamma 90.00
loop_
_symmetry_equiv_pos_as_xyz
'x,y,z'
'-x,-y,-z'
'-y+1/2,x,z'
'y+1/2,-x,-z'
'-x+1/2,-y+1/2,z'
'x+1/2,y+1/2,-z'
'y,-x+1/2,z'
'-y,x+1/2,-z'
'x+1/2,-y,-z'
'-x+1/2,y,z'
'-y,-x,-z'
'y,x,z'
'-x,y+1/2,-z'
'x,-y+1/2,z'
'y+1/2,x+1/2,-z'
'-y+1/2,-x+1/2,z'
loop_
_atom_site_label
_atom_site_type_symbol
_atom_site_fract_x
_atom_site_fract_y
_atom_site_fract_z
Na1 Na 0.250 0.250 0.095
Na2 Na 0.250 0.250 0.398
Nb1 Nb 0.250 0.250 0.759
O1 O 0.250 0.250 0.912
O2 O 0.250 0.750 0.262
F1 F 0.250 0.250 0.577
```